Diffraction record for CsTmAgTe3. The X-ray diffraction stick pattern is simulated, not measured: it uses a cell relaxed with GGA-PBE and CuKα.
Intensities are scaled so that the largest is 100.

Peak list (12 most intense, 10° ≤ 2θ ≤ 90°, in order of rising 2θ)
Position (°2θ), I/Imax
10.04, 91
25.61, 40
25.80, 31
26.99, 100
30.30, 71
31.53, 52
34.39, 24
36.67, 60
42.34, 33
47.96, 38
48.39, 24
53.74, 23

Atomic structure:
```
data_CsTmAgTe3
_chemical_formula_sum 'Cs2 Tm2 Ag2 Te6'
_cell_length_a 9.0622
_cell_length_b 9.0622
_cell_length_c 11.3510
_cell_angle_alpha 90.00
_cell_angle_beta 90.00
_cell_angle_gamma 152.75
_symmetry_space_group_name_H-M 'P 1'
_symmetry_Int_Tables_number 1
loop_
_symmetry_equiv_pos_as_xyz
'x,y,z'
loop_
_atom_site_label
_atom_site_fract_x
_atom_site_fract_y
_atom_site_fract_z
_atom_site_occupancy
Cs1 0.2476 0.7524 0.7500 1
Cs2 0.7524 0.2476 0.2500 1
Tm1 0.0000 0.0000 0.0000 1
Tm2 0.0000 0.0000 0.5000 1
Ag1 0.4622 0.5378 0.2500 1
Ag2 0.5378 0.4622 0.7500 1
Te1 0.0676 0.9324 0.2500 1
Te2 0.3787 0.6213 0.0425 1
Te3 0.3787 0.6213 0.4575 1
Te4 0.6213 0.3787 0.5425 1
Te5 0.6213 0.3787 0.9575 1
Te6 0.9324 0.0676 0.7500 1
```

=====

Diffraction record for HoTmSiGeOs. The X-ray diffraction stick pattern is simulated, not measured: it uses a cell relaxed with GGA-PBE and CuKα.
Intensities are scaled so that the largest is 100.

Peak list (12 most intense, 10° ≤ 2θ ≤ 90°, in order of rising 2θ)
Position (°2θ), I/Imax
27.64, 32
33.34, 17
33.77, 100
34.89, 17
37.28, 54
38.64, 18
40.74, 25
41.06, 33
42.95, 36
59.44, 16
60.69, 16
65.72, 19

Atomic structure:
```
data_HoTmSiGeOs
_chemical_formula_sum 'Ho2 Tm2 Si2 Ge2 Os2'
_cell_length_a 5.6880
_cell_length_b 5.6880
_cell_length_c 10.0439
_cell_angle_alpha 115.96
_cell_angle_beta 115.96
_cell_angle_gamma 43.46
_symmetry_space_group_name_H-M 'P 1'
_symmetry_Int_Tables_number 1
loop_
_symmetry_equiv_pos_as_xyz
'x,y,z'
loop_
_atom_site_label
_atom_site_fract_x
_atom_site_fract_y
_atom_site_fract_z
_atom_site_occupancy
Ho1 0.1863 0.1863 0.1167 1
Ho2 0.8137 0.8137 0.8833 1
Tm1 0.0050 0.0050 0.6724 1
Tm2 0.9950 0.9950 0.3276 1
Si1 0.3584 0.3584 0.4407 1
Si2 0.6416 0.6416 0.5593 1
Ge1 0.4858 0.4858 0.1256 1
Ge2 0.5142 0.5142 0.8744 1
Os1 0.2659 0.2659 0.6244 1
Os2 0.7341 0.7341 0.3756 1
```

=====

Diffraction record for Nb3Fe2. The X-ray diffraction stick pattern is simulated, not measured: it uses a cell relaxed with GGA-PBE and CuKα.
Intensities are scaled so that the largest is 100.

Peak list (12 most intense, 10° ≤ 2θ ≤ 90°, in order of rising 2θ)
Position (°2θ), I/Imax
27.65, 16
31.11, 18
38.46, 100
42.69, 44
45.14, 29
46.05, 19
66.17, 9
66.61, 22
66.89, 12
75.33, 8
79.62, 11
89.09, 8

Atomic structure:
```
data_Nb3Fe2
_chemical_formula_sum 'Nb6 Fe4'
_cell_length_a 6.6007
_cell_length_b 6.6007
_cell_length_c 6.6007
_cell_angle_alpha 50.36
_cell_angle_beta 50.36
_cell_angle_gamma 50.36
_symmetry_space_group_name_H-M 'P 1'
_symmetry_Int_Tables_number 1
loop_
_symmetry_equiv_pos_as_xyz
'x,y,z'
loop_
_atom_site_label
_atom_site_fract_x
_atom_site_fract_y
_atom_site_fract_z
_atom_site_occupancy
Nb1 0.2441 0.7500 0.2559 1
Nb2 0.2500 0.7441 0.7559 1
Nb3 0.2559 0.2441 0.7500 1
Nb4 0.7441 0.7559 0.2500 1
Nb5 0.7500 0.2559 0.2441 1
Nb6 0.7559 0.2500 0.7441 1
Fe1 0.1876 0.1876 0.1876 1
Fe2 0.3124 0.3124 0.3124 1
Fe3 0.6876 0.6876 0.6876 1
Fe4 0.8124 0.8124 0.8124 1
```

=====

Diffraction record for GaNi10. The X-ray diffraction stick pattern is simulated, not measured: it uses a cell relaxed with GGA-PBE and CuKα.
Intensities are scaled so that the largest is 100.

Peak list (12 most intense, 10° ≤ 2θ ≤ 90°, in order of rising 2θ)
Position (°2θ), I/Imax
12.74, 24
43.38, 100
44.76, 89
45.61, 75
46.02, 70
48.50, 13
51.60, 40
52.54, 36
52.91, 35
53.03, 15
77.05, 21
77.81, 20

Atomic structure:
```
data_GaNi10
_chemical_formula_sum 'Ga2 Ni20'
_cell_length_a 4.2526
_cell_length_b 4.2526
_cell_length_c 27.8000
_cell_angle_alpha 90.23
_cell_angle_beta 90.23
_cell_angle_gamma 48.02
_symmetry_space_group_name_H-M 'P 1'
_symmetry_Int_Tables_number 1
loop_
_symmetry_equiv_pos_as_xyz
'x,y,z'
loop_
_atom_site_label
_atom_site_fract_x
_atom_site_fract_y
_atom_site_fract_z
_atom_site_occupancy
Ga1 0.1524 0.1524 0.1988 1
Ga2 0.8476 0.8476 0.8012 1
Ni1 0.0490 0.0490 0.6866 1
Ni2 0.0511 0.0511 0.3996 1
Ni3 0.1495 0.1495 0.7743 1
Ni4 0.1502 0.1502 0.4857 1
Ni5 0.2496 0.2496 0.5718 1
Ni6 0.2526 0.2526 0.2851 1
Ni7 0.3489 0.3489 0.6581 1
Ni8 0.3518 0.3518 0.3711 1
Ni9 0.4504 0.4504 0.4570 1
Ni10 0.4512 0.4512 0.7455 1
Ni11 0.5488 0.5488 0.2545 1
Ni12 0.5496 0.5496 0.5430 1
Ni13 0.6482 0.6482 0.6289 1
Ni14 0.6511 0.6511 0.3419 1
Ni15 0.7474 0.7474 0.7149 1
Ni16 0.7504 0.7504 0.4282 1
Ni17 0.8498 0.8498 0.5143 1
Ni18 0.8505 0.8505 0.2257 1
Ni19 0.9489 0.9489 0.6004 1
Ni20 0.9510 0.9510 0.3134 1
```

=====

Diffraction record for RbSn3Au3. The X-ray diffraction stick pattern is simulated, not measured: it uses a cell relaxed with GGA-PBE and CuKα.
Intensities are scaled so that the largest is 100.

Peak list (12 most intense, 10° ≤ 2θ ≤ 90°, in order of rising 2θ)
Position (°2θ), I/Imax
14.58, 28
18.66, 17
30.38, 45
30.86, 100
33.94, 17
37.68, 50
39.08, 40
41.12, 74
42.45, 21
49.15, 24
55.52, 20
78.66, 20

Atomic structure:
```
data_RbSn3Au3
_chemical_formula_sum 'Rb2 Sn6 Au6'
_cell_length_a 4.7740
_cell_length_b 7.8968
_cell_length_c 9.5125
_cell_angle_alpha 90.00
_cell_angle_beta 90.00
_cell_angle_gamma 90.00
_symmetry_space_group_name_H-M 'P 1'
_symmetry_Int_Tables_number 1
loop_
_symmetry_equiv_pos_as_xyz
'x,y,z'
loop_
_atom_site_label
_atom_site_fract_x
_atom_site_fract_y
_atom_site_fract_z
_atom_site_occupancy
Rb1 0.2500 0.2500 0.2400 1
Rb2 0.7500 0.7500 0.7600 1
Sn1 0.2500 0.0508 0.6210 1
Sn2 0.2500 0.4492 0.6210 1
Sn3 0.2500 0.7500 0.1155 1
Sn4 0.7500 0.2500 0.8845 1
Sn5 0.7500 0.5508 0.3790 1
Sn6 0.7500 0.9492 0.3790 1
Au1 0.2500 0.0372 0.9165 1
Au2 0.2500 0.4628 0.9165 1
Au3 0.2500 0.7500 0.4282 1
Au4 0.7500 0.2500 0.5718 1
Au5 0.7500 0.5372 0.0835 1
Au6 0.7500 0.9628 0.0835 1
```

=====

Diffraction record for Ni15Bi. The X-ray diffraction stick pattern is simulated, not measured: it uses a cell relaxed with GGA-PBE and CuKα.
Intensities are scaled so that the largest is 100.

Peak list (12 most intense, 10° ≤ 2θ ≤ 90°, in order of rising 2θ)
Position (°2θ), I/Imax
10.90, 15
13.09, 18
37.67, 12
40.24, 22
42.49, 11
43.76, 86
45.12, 100
51.77, 77
51.96, 9
54.24, 10
76.24, 31
78.26, 12

Atomic structure:
```
data_Ni15Bi
_chemical_formula_sum 'Ni30 Bi2'
_cell_length_a 3.5329
_cell_length_b 3.5328
_cell_length_c 40.5877
_cell_angle_alpha 90.00
_cell_angle_beta 90.00
_cell_angle_gamma 90.00
_symmetry_space_group_name_H-M 'P 1'
_symmetry_Int_Tables_number 1
loop_
_symmetry_equiv_pos_as_xyz
'x,y,z'
loop_
_atom_site_label
_atom_site_fract_x
_atom_site_fract_y
_atom_site_fract_z
_atom_site_occupancy
Ni1 0.2500 0.0000 0.0211 1
Ni2 0.2500 0.0000 0.1056 1
Ni3 0.2500 0.0000 0.1903 1
Ni4 0.2500 0.0000 0.2749 1
Ni5 0.2500 0.0000 0.6838 1
Ni6 0.2500 0.0000 0.7674 1
Ni7 0.2500 0.0000 0.8521 1
Ni8 0.2500 0.0000 0.9366 1
Ni9 0.2500 0.5000 0.0634 1
Ni10 0.2500 0.5000 0.1480 1
Ni11 0.2500 0.5000 0.2328 1
Ni12 0.2500 0.5000 0.7251 1
Ni13 0.2500 0.5000 0.8097 1
Ni14 0.2500 0.5000 0.8944 1
Ni15 0.2500 0.5000 0.9789 1
Ni16 0.7500 0.0000 0.0634 1
Ni17 0.7500 0.0000 0.1479 1
Ni18 0.7500 0.0000 0.2326 1
Ni19 0.7500 0.0000 0.3162 1
Ni20 0.7500 0.0000 0.7251 1
Ni21 0.7500 0.0000 0.8097 1
Ni22 0.7500 0.0000 0.8944 1
Ni23 0.7500 0.0000 0.9789 1
Ni24 0.7500 0.5000 0.0211 1
Ni25 0.7500 0.5000 0.1056 1
Ni26 0.7500 0.5000 0.1903 1
Ni27 0.7500 0.5000 0.2749 1
Ni28 0.7500 0.5000 0.7672 1
Ni29 0.7500 0.5000 0.8520 1
Ni30 0.7500 0.5000 0.9366 1
Bi1 0.2500 0.5000 0.3376 1
Bi2 0.7500 0.5000 0.6624 1
```

=====

Diffraction record for Ni15Te2. The X-ray diffraction stick pattern is simulated, not measured: it uses a cell relaxed with GGA-PBE and CuKα.
Intensities are scaled so that the largest is 100.

Peak list (12 most intense, 10° ≤ 2θ ≤ 90°, in order of rising 2θ)
Position (°2θ), I/Imax
13.11, 19
41.46, 19
43.92, 100
44.78, 52
45.61, 88
46.38, 17
46.54, 38
46.67, 18
49.08, 33
49.55, 36
50.63, 21
57.58, 22

Atomic structure:
```
data_Ni15Te2
_chemical_formula_sum 'Ni15 Te2'
_cell_length_a 4.3554
_cell_length_b 4.3554
_cell_length_c 27.2751
_cell_angle_alpha 97.26
_cell_angle_beta 97.26
_cell_angle_gamma 43.12
_symmetry_space_group_name_H-M 'P 1'
_symmetry_Int_Tables_number 1
loop_
_symmetry_equiv_pos_as_xyz
'x,y,z'
loop_
_atom_site_label
_atom_site_fract_x
_atom_site_fract_y
_atom_site_fract_z
_atom_site_occupancy
Ni1 0.0000 0.0000 0.0000 1
Ni2 0.0137 0.0137 0.2154 1
Ni3 0.1409 0.1409 0.0902 1
Ni4 0.1460 0.1460 0.8790 1
Ni5 0.2871 0.2871 0.9698 1
Ni6 0.2900 0.2900 0.1827 1
Ni7 0.4255 0.4255 0.0601 1
Ni8 0.4303 0.4303 0.8503 1
Ni9 0.5697 0.5697 0.1497 1
Ni10 0.5745 0.5745 0.9399 1
Ni11 0.7100 0.7100 0.8173 1
Ni12 0.7129 0.7129 0.0302 1
Ni13 0.8540 0.8540 0.1210 1
Ni14 0.8591 0.8591 0.9098 1
Ni15 0.9863 0.9863 0.7846 1
Te1 0.2610 0.2610 0.7459 1
Te2 0.7390 0.7390 0.2541 1
```

=====

Diffraction record for CuReB4. The X-ray diffraction stick pattern is simulated, not measured: it uses a cell relaxed with GGA-PBE and CuKα.
Intensities are scaled so that the largest is 100.

Peak list (12 most intense, 10° ≤ 2θ ≤ 90°, in order of rising 2θ)
Position (°2θ), I/Imax
21.64, 58
27.26, 62
33.16, 21
33.98, 42
34.69, 78
44.10, 51
44.67, 100
61.27, 21
67.80, 23
68.31, 20
79.76, 17
87.92, 16

Atomic structure:
```
data_CuReB4
_chemical_formula_sum 'Cu1 Re1 B4'
_cell_length_a 4.4563
_cell_length_b 4.4563
_cell_length_c 4.4563
_cell_angle_alpha 141.12
_cell_angle_beta 107.41
_cell_angle_gamma 85.55
_symmetry_space_group_name_H-M 'P 1'
_symmetry_Int_Tables_number 1
loop_
_symmetry_equiv_pos_as_xyz
'x,y,z'
loop_
_atom_site_label
_atom_site_fract_x
_atom_site_fract_y
_atom_site_fract_z
_atom_site_occupancy
Cu1 0.0000 0.0000 0.0000 1
Re1 0.5000 0.5000 0.0000 1
B1 0.0837 0.7447 0.3390 1
B2 0.4057 0.7447 0.6610 1
B3 0.5943 0.2553 0.3390 1
B4 0.9163 0.2553 0.6610 1
```

=====

Diffraction record for Sm2SiTeO4. The X-ray diffraction stick pattern is simulated, not measured: it uses a cell relaxed with GGA-PBE and CuKα.
Intensities are scaled so that the largest is 100.

Peak list (12 most intense, 10° ≤ 2θ ≤ 90°, in order of rising 2θ)
Position (°2θ), I/Imax
21.45, 19
24.87, 36
29.86, 100
30.04, 27
32.28, 61
32.39, 75
35.38, 44
39.90, 43
40.73, 21
52.22, 18
59.27, 18
67.80, 19

Atomic structure:
```
data_Sm2SiTeO4
_chemical_formula_sum 'Sm8 Si4 Te4 O16'
_cell_length_a 6.2334
_cell_length_b 7.1095
_cell_length_c 11.0917
_cell_angle_alpha 90.00
_cell_angle_beta 90.00
_cell_angle_gamma 90.00
_symmetry_space_group_name_H-M 'P 1'
_symmetry_Int_Tables_number 1
loop_
_symmetry_equiv_pos_as_xyz
'x,y,z'
loop_
_atom_site_label
_atom_site_fract_x
_atom_site_fract_y
_atom_site_fract_z
_atom_site_occupancy
Sm1 0.1107 0.2500 0.0000 1
Sm2 0.1107 0.2500 0.5000 1
Sm3 0.3870 0.5360 0.2500 1
Sm4 0.3870 0.9640 0.7500 1
Sm5 0.6130 0.0360 0.2500 1
Sm6 0.6130 0.4640 0.7500 1
Sm7 0.8893 0.7500 0.0000 1
Sm8 0.8893 0.7500 0.5000 1
Si1 0.3870 0.7500 0.0000 1
Si2 0.3870 0.7500 0.5000 1
Si3 0.6130 0.2500 0.0000 1
Si4 0.6130 0.2500 0.5000 1
Te1 0.0966 0.5834 0.7500 1
Te2 0.0966 0.9166 0.2500 1
Te3 0.9034 0.0834 0.7500 1
Te4 0.9034 0.4166 0.2500 1
O1 0.2291 0.5735 0.0352 1
O2 0.2291 0.5735 0.4648 1
O3 0.2291 0.9265 0.5352 1
O4 0.2291 0.9265 0.9648 1
O5 0.4483 0.2331 0.6169 1
O6 0.4483 0.2331 0.8831 1
O7 0.4483 0.2669 0.1169 1
O8 0.4483 0.2669 0.3831 1
O9 0.5517 0.7331 0.6169 1
O10 0.5517 0.7331 0.8831 1
O11 0.5517 0.7669 0.1169 1
O12 0.5517 0.7669 0.3831 1
O13 0.7709 0.0735 0.0352 1
O14 0.7709 0.0735 0.4648 1
O15 0.7709 0.4265 0.5352 1
O16 0.7709 0.4265 0.9648 1
```

=====

Diffraction record for KErMgSe3. The X-ray diffraction stick pattern is simulated, not measured: it uses a cell relaxed with GGA-PBE and CuKα.
Intensities are scaled so that the largest is 100.

Peak list (12 most intense, 10° ≤ 2θ ≤ 90°, in order of rising 2θ)
Position (°2θ), I/Imax
11.54, 100
23.47, 16
27.91, 33
29.12, 77
29.69, 33
32.76, 17
34.15, 16
36.72, 14
42.84, 51
45.64, 12
46.92, 20
51.85, 15

Atomic structure:
```
data_KErMgSe3
_chemical_formula_sum 'K2 Er2 Mg2 Se6'
_cell_length_a 9.0083
_cell_length_b 4.2256
_cell_length_c 10.0773
_cell_angle_alpha 90.00
_cell_angle_beta 107.87
_cell_angle_gamma 90.00
_symmetry_space_group_name_H-M 'P 1'
_symmetry_Int_Tables_number 1
loop_
_symmetry_equiv_pos_as_xyz
'x,y,z'
loop_
_atom_site_label
_atom_site_fract_x
_atom_site_fract_y
_atom_site_fract_z
_atom_site_occupancy
K1 0.2115 0.2500 0.2276 1
K2 0.7885 0.7500 0.7724 1
Er1 0.3308 0.7500 0.8670 1
Er2 0.6692 0.2500 0.1330 1
Mg1 0.0854 0.2500 0.6105 1
Mg2 0.9146 0.7500 0.3895 1
Se1 0.1126 0.2500 0.8667 1
Se2 0.2098 0.7500 0.5441 1
Se3 0.4651 0.7500 0.1561 1
Se4 0.5349 0.2500 0.8439 1
Se5 0.7902 0.2500 0.4559 1
Se6 0.8874 0.7500 0.1333 1
```

=====

Diffraction record for Ho5ZnTe4. The X-ray diffraction stick pattern is simulated, not measured: it uses a cell relaxed with GGA-PBE and CuKα.
Intensities are scaled so that the largest is 100.

Peak list (12 most intense, 10° ≤ 2θ ≤ 90°, in order of rising 2θ)
Position (°2θ), I/Imax
25.32, 7
29.32, 100
36.71, 4
41.94, 73
51.99, 25
60.35, 3
60.76, 7
60.91, 4
68.88, 18
69.01, 11
76.58, 13
76.68, 8

Atomic structure:
```
data_Ho5ZnTe4
_chemical_formula_sum 'Ho5 Zn1 Te4'
_cell_length_a 7.4650
_cell_length_b 7.4650
_cell_length_c 7.4650
_cell_angle_alpha 99.56
_cell_angle_beta 99.56
_cell_angle_gamma 131.91
_symmetry_space_group_name_H-M 'P 1'
_symmetry_Int_Tables_number 1
loop_
_symmetry_equiv_pos_as_xyz
'x,y,z'
loop_
_atom_site_label
_atom_site_fract_x
_atom_site_fract_y
_atom_site_fract_z
_atom_site_occupancy
Ho1 0.0000 0.0000 0.0000 1
Ho2 0.2241 0.4044 0.6267 1
Ho3 0.4044 0.7776 0.1803 1
Ho4 0.5974 0.2241 0.8197 1
Ho5 0.7776 0.5974 0.3733 1
Zn1 0.5000 0.5000 0.0000 1
Te1 0.0914 0.6944 0.7839 1
Te2 0.3074 0.0914 0.3970 1
Te3 0.6944 0.9104 0.6030 1
Te4 0.9104 0.3074 0.2161 1
```

=====

Diffraction record for BaPrNd. The X-ray diffraction stick pattern is simulated, not measured: it uses a cell relaxed with GGA-PBE and CuKα.
Intensities are scaled so that the largest is 100.

Peak list (12 most intense, 10° ≤ 2θ ≤ 90°, in order of rising 2θ)
Position (°2θ), I/Imax
18.33, 26
21.20, 12
30.15, 100
35.52, 15
43.17, 19
47.26, 7
48.57, 5
53.55, 40
57.09, 5
62.69, 12
71.13, 17
86.97, 20

Atomic structure:
```
data_BaPrNd
_chemical_formula_sum 'Ba1 Pr1 Nd1'
_cell_length_a 5.9276
_cell_length_b 5.9276
_cell_length_c 5.9276
_cell_angle_alpha 60.00
_cell_angle_beta 60.00
_cell_angle_gamma 60.00
_symmetry_space_group_name_H-M 'P 1'
_symmetry_Int_Tables_number 1
loop_
_symmetry_equiv_pos_as_xyz
'x,y,z'
loop_
_atom_site_label
_atom_site_fract_x
_atom_site_fract_y
_atom_site_fract_z
_atom_site_occupancy
Ba1 0.0000 0.0000 0.0000 1
Pr1 0.2500 0.2500 0.2500 1
Nd1 0.5000 0.5000 0.5000 1
```

=====

What is the formula in the fourth record? GaNi10